Starting from a DFT-relaxed cell (PBE, Alexandria), the X-ray powder pattern of NaHg2Au2 was simulated for Cu Kα X-rays.
Kinematic intensities with the Lorentz-polarization factor, no thermal factor.

```
data_NaHg2Au2
_chemical_formula_sum 'Na2 Hg4 Au4'
_symmetry_space_group_name_H-M 'P -1'
_symmetry_Int_Tables_number 2
_cell_length_a 4.647
_cell_length_b 5.747
_cell_length_c 9.569
_cell_angle_alpha 86.73
_cell_angle_beta 76.32
_cell_angle_gamma 66.34
loop_
_symmetry_equiv_pos_as_xyz
'x,y,z'
'-x,-y,-z'
loop_
_atom_site_label
_atom_site_type_symbol
_atom_site_fract_x
_atom_site_fract_y
_atom_site_fract_z
Na1 Na 0.043 0.125 0.290
Hg1 Hg 0.340 0.268 0.550
Hg2 Hg 0.363 0.804 0.961
Au1 Au 0.154 0.332 0.868
Au2 Au 0.335 0.539 0.289
```

Largest 6 diffraction maxima, in order of rising 2θ, 2θ from 10° to 90°:
5.259 Å, I = 57, hkl 0 1 0; 2.783 Å, I = 59, hkl 1 0 -2; 2.584 Å, I = 82, hkl 1 2 -1; 2.323 Å, I = 100, hkl 2 1 1; 2.273 Å, I = 99, hkl 1 -1 3; 2.241 Å, I = 55, hkl 1 0 -3